1.
Structure and simulated powder X-ray diffraction pattern of Mn2GaBSe (a structure optimized by DFT (GGA-PBE); copper Kα).
Kinematic intensities with the Lorentz-polarization factor, no thermal factor.

Cell and atoms:
```
Mn2GaBSe
1.0
5.418 0.000 0.000
0.000 3.137 0.000
-1.810 0.000 7.953
Mn Ga B Se
4 2 2 2
Direct
0.000 0.000 0.000
0.246 0.000 0.739
0.500 0.500 0.000
0.746 0.500 0.739
0.245 0.500 0.235
0.745 0.000 0.235
0.125 0.500 0.876
0.625 0.000 0.876
0.011 0.500 0.534
0.511 0.000 0.534
```

Main lines, by intensity (2θ from 10° to 80°):
| Position (°2θ) | Rel. int. |
| --- | --- |
| 36.4 | 100 |
| 45.2 | 54 |
| 59.0 | 18 |
| 45.6 | 13 |
| 77.6 | 10 |
| 58.9 | 9 |
| 72.3 | 9 |
| 71.2 | 8 |
| 77.2 | 7 |
| 51.0 | 5 |



2.
Structure and simulated powder X-ray diffraction pattern of YFe10B2 (a structure optimized by DFT (GGA-PBE); copper Kα).
Kinematic intensities with the Lorentz-polarization factor, no thermal factor.

Cell and atoms:
```
YFe10B2
1.0
4.082 -4.604 0.000
4.082 4.604 0.000
0.000 0.000 7.884
Y Fe B
2 20 4
Direct
0.115 0.885 0.750
0.885 0.115 0.250
0.112 0.403 0.750
0.169 0.831 0.095
0.169 0.831 0.405
0.233 0.233 0.000
0.233 0.233 0.500
0.243 0.472 0.250
0.388 0.612 0.575
0.388 0.612 0.925
0.403 0.112 0.250
0.472 0.243 0.750
0.528 0.757 0.250
0.597 0.888 0.750
0.612 0.388 0.075
0.612 0.388 0.425
0.757 0.528 0.750
0.767 0.767 0.000
0.767 0.767 0.500
0.831 0.169 0.595
0.831 0.169 0.905
0.888 0.597 0.250
0.000 0.500 0.000
0.000 0.500 0.500
0.500 0.000 0.000
0.500 0.000 0.500
```

Main lines, by intensity (2θ from 10° to 80°):
| Position (°2θ) | Rel. int. |
| --- | --- |
| 45.5 | 100 |
| 39.5 | 47 |
| 41.5 | 45 |
| 46.0 | 45 |
| 45.6 | 40 |
| 44.4 | 37 |
| 50.3 | 31 |
| 39.1 | 29 |
| 51.1 | 29 |
| 37.2 | 29 |



3.
Structure and simulated powder X-ray diffraction pattern of Li12Ca2Ag5 (a structure optimized by DFT (GGA-PBE); copper Kα).
Kinematic intensities with the Lorentz-polarization factor, no thermal factor.

Cell and atoms:
```
Li12Ca2Ag5
1.0
4.877 2.816 4.631
-4.877 2.816 4.631
0.000 -5.632 4.631
Li Ca Ag
12 2 5
Direct
0.000 0.271 0.729
0.000 0.729 0.271
0.131 0.651 0.651
0.271 0.000 0.729
0.271 0.729 0.000
0.349 0.349 0.869
0.349 0.869 0.349
0.651 0.131 0.651
0.651 0.651 0.131
0.729 0.000 0.271
0.729 0.271 0.000
0.869 0.349 0.349
0.330 0.330 0.330
0.670 0.670 0.670
0.000 0.000 0.500
0.000 0.500 0.000
0.103 0.103 0.103
0.500 0.000 0.000
0.897 0.897 0.897
```

Main lines, by intensity (2θ from 10° to 80°):
| Position (°2θ) | Rel. int. |
| --- | --- |
| 12.3 | 100 |
| 36.9 | 49 |
| 38.8 | 37 |
| 24.7 | 36 |
| 27.8 | 25 |
| 28.7 | 24 |
| 38.3 | 23 |
| 41.9 | 21 |
| 19.2 | 21 |
| 18.2 | 21 |



4.
Structure and simulated powder X-ray diffraction pattern of Mn2TcPt (a structure optimized by DFT (GGA-PBE); copper Kα).
Kinematic intensities with the Lorentz-polarization factor, no thermal factor.

Cell and atoms:
```
Mn2TcPt
1.0
2.675 0.000 0.000
0.000 3.808 0.000
0.000 0.000 5.355
Mn Tc Pt
2 1 1
Direct
0.000 0.000 0.000
0.500 0.500 0.237
0.000 0.000 0.471
0.500 0.500 0.744
```

Main lines, by intensity (2θ from 10° to 80°):
| Position (°2θ) | Rel. int. |
| --- | --- |
| 41.2 | 100 |
| 48.1 | 32 |
| 16.6 | 23 |
| 28.8 | 20 |
| 70.1 | 20 |
| 47.8 | 16 |
| 37.6 | 10 |
| 70.4 | 10 |
| 44.7 | 8 |
| 67.7 | 5 |



5.
Structure and simulated powder X-ray diffraction pattern of AlAs2 (a structure optimized by DFT (GGA-PBE); copper Kα).
Kinematic intensities with the Lorentz-polarization factor, no thermal factor.

Cell and atoms:
```
AlAs2
1.0
-4.140 4.429 7.294
4.140 -4.429 7.294
4.140 4.429 -7.294
Al As
8 16
Direct
0.003 0.791 0.545
0.246 0.291 0.287
0.254 0.542 0.045
0.497 0.042 0.787
0.503 0.958 0.213
0.746 0.458 0.955
0.754 0.709 0.713
0.997 0.209 0.455
0.000 0.000 0.000
0.000 0.500 0.500
0.006 0.256 0.750
0.203 0.750 0.953
0.250 0.075 0.825
0.250 0.575 0.325
0.297 0.250 0.547
0.494 0.244 0.250
0.500 0.000 0.500
0.500 0.500 0.000
0.506 0.756 0.750
0.703 0.750 0.453
0.750 0.425 0.675
0.750 0.925 0.175
0.797 0.250 0.047
0.994 0.744 0.250
```

Main lines, by intensity (2θ from 10° to 80°):
| Position (°2θ) | Rel. int. |
| --- | --- |
| 32.0 | 100 |
| 48.0 | 54 |
| 24.4 | 50 |
| 50.0 | 14 |
| 30.1 | 13 |
| 50.7 | 11 |
| 29.3 | 10 |
| 71.8 | 10 |
| 40.7 | 8 |
| 37.9 | 6 |



6.
Structure and simulated powder X-ray diffraction pattern of Pm2AgPb3 (a structure optimized by DFT (GGA-PBE); copper Kα).
Kinematic intensities with the Lorentz-polarization factor, no thermal factor.

Cell and atoms:
```
Pm2AgPb3
1.0
4.555 0.000 0.000
0.000 4.555 0.000
0.000 0.000 8.359
Pm Ag Pb
2 1 3
Direct
0.000 0.500 0.178
0.500 0.000 0.822
0.000 0.000 0.500
0.000 0.500 0.791
0.500 0.000 0.209
0.500 0.500 0.500
```

Main lines, by intensity (2θ from 10° to 80°):
| Position (°2θ) | Rel. int. |
| --- | --- |
| 35.2 | 100 |
| 29.7 | 64 |
| 39.6 | 52 |
| 51.8 | 36 |
| 32.1 | 34 |
| 69.0 | 29 |
| 62.6 | 23 |
| 27.7 | 19 |
| 67.1 | 18 |
| 57.2 | 18 |



7.
Structure and simulated powder X-ray diffraction pattern of CaH2CO4 (a structure optimized by DFT (GGA-PBE); copper Kα).
Kinematic intensities with the Lorentz-polarization factor, no thermal factor.

Cell and atoms:
```
CaH2CO4
1.0
6.149 0.000 0.000
-3.075 5.325 0.000
0.000 0.000 7.627
Ca H C O
3 6 3 12
Direct
0.009 0.284 0.000
0.274 0.991 0.667
0.716 0.726 0.333
0.081 0.542 0.418
0.458 0.539 0.751
0.461 0.919 0.085
0.553 0.442 0.909
0.558 0.111 0.242
0.889 0.447 0.576
0.024 0.749 0.044
0.251 0.275 0.377
0.725 0.976 0.710
0.050 0.109 0.453
0.059 0.950 0.119
0.197 0.746 0.945
0.254 0.451 0.279
0.403 0.396 0.835
0.462 0.279 0.407
0.549 0.803 0.612
0.604 0.007 0.169
0.721 0.183 0.741
0.817 0.538 0.074
0.891 0.941 0.786
0.993 0.597 0.502
```

Main lines, by intensity (2θ from 10° to 80°):
| Position (°2θ) | Rel. int. |
| --- | --- |
| 20.3 | 100 |
| 28.8 | 99 |
| 46.7 | 80 |
| 41.4 | 60 |
| 31.4 | 55 |
| 37.6 | 36 |
| 46.3 | 35 |
| 16.6 | 35 |
| 50.9 | 25 |
| 35.7 | 24 |



8.
Structure and simulated powder X-ray diffraction pattern of Cs2LaTa6Br15O3 (a structure optimized by DFT (GGA-PBE); copper Kα).
Kinematic intensities with the Lorentz-polarization factor, no thermal factor.

Cell and atoms:
```
Cs2LaTa6Br15O3
1.0
9.648 0.000 0.000
-4.824 8.355 0.000
0.000 0.000 18.883
Cs La Ta Br O
4 2 12 30 6
Direct
0.333 0.667 0.039
0.333 0.667 0.461
0.667 0.333 0.539
0.667 0.333 0.961
0.333 0.667 0.750
0.667 0.333 0.250
0.016 0.188 0.689
0.016 0.828 0.811
0.172 0.188 0.811
0.172 0.984 0.689
0.188 0.016 0.189
0.188 0.172 0.311
0.812 0.828 0.689
0.812 0.984 0.811
0.828 0.016 0.311
0.828 0.812 0.189
0.984 0.172 0.189
0.984 0.812 0.311
0.018 0.221 0.408
0.018 0.797 0.092
0.074 0.469 0.622
0.074 0.605 0.878
0.203 0.221 0.092
0.203 0.982 0.408
0.213 0.426 0.250
0.213 0.787 0.250
0.221 0.018 0.908
0.221 0.203 0.592
0.395 0.469 0.878
0.395 0.926 0.622
0.426 0.213 0.750
0.469 0.074 0.122
0.469 0.395 0.378
0.531 0.605 0.622
0.531 0.926 0.878
0.574 0.787 0.250
0.605 0.074 0.378
0.605 0.531 0.122
0.779 0.797 0.408
0.779 0.982 0.092
0.787 0.213 0.750
0.787 0.574 0.750
0.797 0.018 0.592
0.797 0.779 0.908
0.926 0.395 0.122
0.926 0.531 0.378
0.982 0.203 0.908
0.982 0.779 0.592
0.180 0.360 0.750
0.180 0.820 0.750
0.360 0.180 0.250
0.640 0.820 0.750
0.820 0.180 0.250
0.820 0.640 0.250
```

Main lines, by intensity (2θ from 10° to 80°):
| Position (°2θ) | Rel. int. |
| --- | --- |
| 10.6 | 100 |
| 34.2 | 88 |
| 14.2 | 60 |
| 26.4 | 41 |
| 40.5 | 40 |
| 28.3 | 39 |
| 31.7 | 37 |
| 42.1 | 36 |
| 39.7 | 34 |
| 43.5 | 27 |



9.
Structure and simulated powder X-ray diffraction pattern of Nd3Dy5Ho (a structure optimized by DFT (GGA-PBE); copper Kα).
Kinematic intensities with the Lorentz-polarization factor, no thermal factor.

Cell and atoms:
```
Nd3Dy5Ho
1.0
8.791 -3.158 0.000
8.791 3.158 0.000
-3.290 0.000 11.083
Nd Dy Ho
6 10 2
Direct
0.000 0.000 0.000
0.000 0.000 0.500
0.181 0.521 0.973
0.479 0.819 0.527
0.521 0.181 0.473
0.819 0.479 0.027
0.005 0.657 0.605
0.094 0.550 0.271
0.343 0.995 0.895
0.408 0.592 0.750
0.450 0.906 0.229
0.550 0.094 0.771
0.592 0.408 0.250
0.657 0.005 0.105
0.906 0.450 0.729
0.995 0.343 0.395
0.109 0.891 0.250
0.891 0.109 0.750
```

Main lines, by intensity (2θ from 10° to 80°):
| Position (°2θ) | Rel. int. |
| --- | --- |
| 31.9 | 100 |
| 32.1 | 79 |
| 29.8 | 74 |
| 28.6 | 74 |
| 33.6 | 61 |
| 30.2 | 45 |
| 35.0 | 41 |
| 35.6 | 32 |
| 32.3 | 27 |
| 54.9 | 26 |



10.
Structure and simulated powder X-ray diffraction pattern of Li2PmErCl8 (a structure optimized by DFT (GGA-PBE); copper Kα).
Kinematic intensities with the Lorentz-polarization factor, no thermal factor.

Cell and atoms:
```
Li2PmErCl8
1.0
6.358 0.000 0.000
0.000 8.014 0.000
-0.566 0.000 6.359
Li Pm Er Cl
2 1 1 8
Direct
0.000 0.244 0.000
0.000 0.756 0.000
0.500 0.500 0.500
0.500 0.000 0.500
0.191 0.500 0.185
0.199 0.000 0.195
0.305 0.241 0.690
0.305 0.759 0.690
0.695 0.241 0.310
0.695 0.759 0.310
0.801 0.000 0.805
0.809 0.500 0.815
```

Main lines, by intensity (2θ from 10° to 80°):
| Position (°2θ) | Rel. int. |
| --- | --- |
| 14.0 | 100 |
| 29.3 | 60 |
| 18.9 | 37 |
| 32.7 | 33 |
| 37.9 | 30 |
| 20.7 | 30 |
| 26.3 | 24 |
| 36.1 | 20 |
| 22.2 | 18 |
| 48.6 | 15 |



11.
Structure and simulated powder X-ray diffraction pattern of Tb7YTh2 (a structure optimized by DFT (GGA-PBE); copper Kα).
Kinematic intensities with the Lorentz-polarization factor, no thermal factor.

Cell and atoms:
```
Tb7YTh2
1.0
6.170 0.000 0.000
-1.053 6.108 0.000
-3.054 -2.623 8.513
Tb Y Th
7 1 2
Direct
0.000 0.000 0.000
0.201 0.596 0.196
0.208 0.105 0.705
0.403 0.200 0.397
0.597 0.800 0.603
0.792 0.895 0.295
0.799 0.404 0.804
0.000 0.500 0.500
0.403 0.703 0.902
0.597 0.297 0.098
```

Main lines, by intensity (2θ from 10° to 80°):
| Position (°2θ) | Rel. int. |
| --- | --- |
| 30.7 | 100 |
| 35.6 | 68 |
| 30.6 | 34 |
| 60.9 | 19 |
| 61.0 | 19 |
| 51.2 | 16 |
| 51.1 | 16 |
| 51.3 | 16 |
| 60.7 | 10 |
| 61.1 | 10 |